1.
Starting from the GGA-PBE geometry in Alexandria, the X-ray diffraction stick pattern of LuBeH was computed for Cu Kα (weighted mean of Kα1 and Kα2).
Lines closer than 0.1° are merged.

Most intense lines, 2θ = 10–90°, most intense first:
2θ/deg	d/Å	Rel. int.	hkl
32.9	2.723	100	1 0 3
29.6	3.020	31	0 0 6
41.9	2.157	28	1 1 0
29.7	3.008	26	1 0 1
52.1	1.755	26	1 1 6
70.8	1.331	22	2 1 3
54.6	1.680	22	1 0 9
38.6	2.334	19	1 0 5

Atomic structure:
```
data_LuBeH
_space_group_name_H-M_alt 'I 4/m m m'
_space_group_IT_number 139
_space_group_name_Hall '-I 4 2'
_cell_length_a 3.0503
_cell_length_b 3.0503
_cell_length_c 18.1176
_cell_angle_alpha 90.00
_cell_angle_beta 90.00
_cell_angle_gamma 90.00
loop_
_atom_site_label
_atom_site_type_symbol
_atom_site_fract_x
_atom_site_fract_y
_atom_site_fract_z
Lu1 Lu 0.0000 0.0000 0.1681
Be1 Be 0.0000 0.0000 0.4408
H1 H 0.0000 0.0000 0.2898
```

2.
Starting from the GGA-PBE geometry in Alexandria, the X-ray diffraction stick pattern of MgBeH3 was computed for Cu Kα (weighted mean of Kα1 and Kα2).
Lines closer than 0.1° are merged.

Most intense lines, 2θ = 10–90°, most intense first:
2θ/deg	d/Å	Rel. int.	hkl
23.5	3.783	100	1 1 0
34.5	2.603	85	1 1 2
22.5	3.953	39	1 0 1
38.0	2.366	35	2 0 0
28.4	3.143	31	0 2 0
40.4	2.235	28	0 1 3
47.4	1.916	24	1 3 0
48.1	1.892	21	2 2 0

Atomic structure:
```
data_MgBeH3
_space_group_name_H-M_alt 'P n n m'
_space_group_IT_number 58
_space_group_name_Hall '-P 2 2n'
_cell_length_a 4.7368
_cell_length_b 6.2870
_cell_length_c 7.1741
_cell_angle_alpha 90.00
_cell_angle_beta 90.00
_cell_angle_gamma 90.00
loop_
_atom_site_label
_atom_site_type_symbol
_atom_site_fract_x
_atom_site_fract_y
_atom_site_fract_z
Mg1 Mg 0.0000 0.0000 0.2007
Be1 Be 0.1393 0.3653 0.0000
H1 H 0.1709 0.6149 0.0000
H2 H 0.2354 0.7960 0.3301
```

3.
Starting from the GGA-PBE geometry in Alexandria, the X-ray diffraction stick pattern of MgNpBeH6 was computed for Cu Kα (weighted mean of Kα1 and Kα2).
Lines closer than 0.1° are merged.

Most intense lines, 2θ = 10–90°, most intense first:
2θ/deg	d/Å	Rel. int.	hkl
31.2	2.865	100	1 0 1
23.7	3.752	72	1 0 0
20.0	4.438	32	0 0 1
41.7	2.166	26	1 1 0
47.6	1.910	25	1 0 2
53.0	1.728	24	2 0 1
46.7	1.947	22	1 1 1
69.6	1.351	21	2 1 1

Atomic structure:
```
data_MgNpBeH6
_space_group_name_H-M_alt 'P -6 m 2'
_space_group_IT_number 187
_space_group_name_Hall 'P -6 2'
_cell_length_a 4.3324
_cell_length_b 4.3324
_cell_length_c 4.4377
_cell_angle_alpha 90.00
_cell_angle_beta 90.00
_cell_angle_gamma 120.00
loop_
_atom_site_label
_atom_site_type_symbol
_atom_site_fract_x
_atom_site_fract_y
_atom_site_fract_z
Mg1 Mg 0.0000 0.0000 0.0000
Np1 Np 0.6667 0.3333 0.5000
Be1 Be 0.3333 0.6667 0.0000
H1 H 0.1830 0.3661 0.2780
```